This entry pairs a crystal structure of Pm2Ni12P7 with its simulated X-ray diffraction stick pattern. Radiation: a wavelength of 1.5418 Å. Structure: a crystal structure in Alexandria, relaxed with PBE.
Neutral-atom scattering factors, no anomalous dispersion.

Atomic structure:
```
data_Pm2Ni12P7
_space_group_name_H-M_alt 'P -3'
_space_group_IT_number 147
_cell_length_a 9.1070
_cell_length_b 9.1070
_cell_length_c 3.7437
_cell_angle_alpha 90.00
_cell_angle_beta 90.00
_cell_angle_gamma 120.00
loop_
_space_group_symop_operation_xyz
'x,y,z'
'-x,-y,-z'
'-y,x-y,z'
'y,-x+y,-z'
'-x+y,-x,z'
'x-y,x,-z'
loop_
_atom_site_label
_atom_site_type_symbol
_atom_site_fract_x
_atom_site_fract_y
_atom_site_fract_z
Pm1 Pm 0.3333 0.6667 0.2492
Ni1 Ni 0.0558 0.6234 0.7504
Ni2 Ni 0.1145 0.8610 0.2565
P1 P 0.0000 0.0000 0.0000
P2 P 0.1077 0.4032 0.7492
```

Peak list (10 most intense, 2θ = 5–70°, in order of rising 2θ)
| 2θ/deg | d (Å) | Rel. int. |
| --- | --- | --- |
| 26.35 | 3.382 | 9.6 |
| 29.98 | 2.981 | 10.2 |
| 34.10 | 2.629 | 8.2 |
| 38.61 | 2.332 | 100.0 |
| 39.58 | 2.277 | 9.0 |
| 48.18 | 1.889 | 7.9 |
| 48.64 | 1.872 | 16.4 |
| 53.22 | 1.721 | 15.0 |
| 56.49 | 1.629 | 8.2 |
| 67.66 | 1.385 | 8.9 |

=====

This entry pairs a crystal structure of Tl3Sb2Pb2 with its simulated X-ray diffraction stick pattern. Radiation: a wavelength of 1.5418 Å. Structure: a crystal structure in Alexandria, relaxed with PBE.
Neutral-atom scattering factors, no anomalous dispersion.

Atomic structure:
```
data_Tl3Sb2Pb2
_space_group_name_H-M_alt 'I m m m'
_space_group_IT_number 71
_space_group_name_Hall '-I 2 2'
_cell_length_a 4.5472
_cell_length_b 4.8301
_cell_length_c 20.7918
_cell_angle_alpha 90.00
_cell_angle_beta 90.00
_cell_angle_gamma 90.00
loop_
_atom_site_label
_atom_site_type_symbol
_atom_site_fract_x
_atom_site_fract_y
_atom_site_fract_z
Tl1 Tl 0.0000 0.0000 0.0000
Tl2 Tl 0.0000 0.0000 0.2469
Sb1 Sb 0.0000 0.5000 0.3813
Pb1 Pb 0.0000 0.5000 0.1156
```

Peak list (10 most intense, 2θ = 5–70°, in order of rising 2θ)
| 2θ/deg | d (Å) | Rel. int. |
| --- | --- | --- |
| 28.31 | 3.153 | 13.4 |
| 32.05 | 2.792 | 100.0 |
| 34.51 | 2.599 | 19.1 |
| 37.23 | 2.415 | 17.2 |
| 39.64 | 2.274 | 14.5 |
| 51.67 | 1.769 | 12.3 |
| 60.29 | 1.535 | 13.8 |
| 63.90 | 1.457 | 14.1 |
| 67.03 | 1.396 | 11.4 |
| 67.19 | 1.393 | 12.3 |

=====

This entry pairs a crystal structure of Tm2MgGaAu4 with its simulated X-ray diffraction stick pattern. Radiation: a wavelength of 1.5418 Å. Structure: a crystal structure in Alexandria, relaxed with PBE.
Neutral-atom scattering factors, no anomalous dispersion.

Atomic structure:
```
data_Tm2MgGaAu4
_space_group_name_H-M_alt 'R -3 m'
_space_group_IT_number 166
_space_group_name_Hall '-R 3 2"'
_cell_length_a 4.8340
_cell_length_b 4.8340
_cell_length_c 23.7405
_cell_angle_alpha 90.00
_cell_angle_beta 90.00
_cell_angle_gamma 120.00
loop_
_atom_site_label
_atom_site_type_symbol
_atom_site_fract_x
_atom_site_fract_y
_atom_site_fract_z
Tm1 Tm 0.0000 0.0000 0.2463
Mg1 Mg 0.0000 0.0000 0.0000
Ga1 Ga 0.0000 0.0000 0.5000
Au1 Au 0.0000 0.0000 0.1216
Au2 Au 0.0000 0.0000 0.3717
```

Peak list (10 most intense, 2θ = 5–70°, in order of rising 2θ)
| 2θ/deg | d (Å) | Rel. int. |
| --- | --- | --- |
| 22.51 | 3.950 | 8.8 |
| 26.05 | 3.421 | 10.4 |
| 34.02 | 2.636 | 1.7 |
| 37.17 | 2.419 | 100.0 |
| 43.89 | 2.063 | 4.6 |
| 45.98 | 1.974 | 2.4 |
| 53.58 | 1.710 | 17.4 |
| 60.52 | 1.530 | 4.2 |
| 66.90 | 1.399 | 8.2 |
| 67.04 | 1.396 | 26.9 |

=====

This entry pairs a crystal structure of Th2GaPIr6 with its simulated X-ray diffraction stick pattern. Radiation: a wavelength of 1.5418 Å. Structure: a crystal structure in Alexandria, relaxed with PBE.
Neutral-atom scattering factors, no anomalous dispersion.

Atomic structure:
```
data_Th2GaPIr6
_space_group_name_H-M_alt 'P m m n'
_space_group_IT_number 59
_cell_length_a 5.5298
_cell_length_b 8.6646
_cell_length_c 7.9653
_cell_angle_alpha 90.00
_cell_angle_beta 90.00
_cell_angle_gamma 90.00
loop_
_space_group_symop_operation_xyz
'x,y,z'
'-x,-y,-z'
'-x+1/2,-y+1/2,z'
'x+1/2,y+1/2,-z'
'x+1/2,-y,-z'
'-x+1/2,y,z'
'-x,y+1/2,-z'
'x,-y+1/2,z'
loop_
_atom_site_label
_atom_site_type_symbol
_atom_site_fract_x
_atom_site_fract_y
_atom_site_fract_z
Th1 Th 0.2500 0.0143 0.2233
Ga1 Ga 0.2500 0.7500 0.7772
P1 P 0.2500 0.2500 0.7342
Ir1 Ir 0.0040 0.7500 0.0371
Ir2 Ir 0.0057 0.7500 0.5039
Ir3 Ir 0.2500 0.0013 0.6018
```

Peak list (10 most intense, 2θ = 5–70°, in order of rising 2θ)
| 2θ/deg | d (Å) | Rel. int. |
| --- | --- | --- |
| 11.11 | 7.965 | 23.6 |
| 27.60 | 3.232 | 27.4 |
| 30.49 | 2.932 | 73.5 |
| 34.63 | 2.590 | 33.7 |
| 37.58 | 2.393 | 21.0 |
| 38.63 | 2.331 | 100.0 |
| 39.68 | 2.271 | 54.6 |
| 41.70 | 2.166 | 51.5 |
| 43.18 | 2.095 | 47.8 |
| 58.92 | 1.568 | 34.1 |

=====

This entry pairs a crystal structure of Cu2H3ClO3 with its simulated X-ray diffraction stick pattern. Radiation: a wavelength of 1.5418 Å. Structure: a crystal structure in Alexandria, relaxed with PBE.
Neutral-atom scattering factors, no anomalous dispersion.

Atomic structure:
```
data_Cu2H3ClO3
_space_group_name_H-M_alt 'C 1 2/m 1'
_space_group_IT_number 12
_cell_length_a 10.0674
_cell_length_b 6.9596
_cell_length_c 6.1416
_cell_angle_alpha 90.00
_cell_angle_beta 115.20
_cell_angle_gamma 90.00
loop_
_space_group_symop_operation_xyz
'x,y,z'
'-x,-y,-z'
'-x,y,-z'
'x,-y,z'
'x+1/2,y+1/2,z'
'-x+1/2,-y+1/2,-z'
'-x+1/2,y+1/2,-z'
'x+1/2,-y+1/2,z'
loop_
_atom_site_label
_atom_site_type_symbol
_atom_site_fract_x
_atom_site_fract_y
_atom_site_fract_z
Cu1 Cu 0.0000 0.0000 0.0000
Cu2 Cu 0.0000 0.0000 0.5000
Cu3 Cu 0.2500 0.2500 0.0000
H1 H 0.0208 0.3006 0.2802
H2 H 0.2312 0.5000 0.6794
Cl1 Cl 0.1785 0.5000 0.3205
O1 O 0.0478 0.1888 0.7645
O2 O 0.2234 0.0000 0.1405
```

Peak list (10 most intense, 2θ = 5–70°, in order of rising 2θ)
| 2θ/deg | d (Å) | Rel. int. |
| --- | --- | --- |
| 16.00 | 5.539 | 100.0 |
| 19.23 | 4.615 | 15.0 |
| 30.31 | 2.949 | 18.7 |
| 32.13 | 2.786 | 61.2 |
| 32.22 | 2.779 | 40.9 |
| 32.38 | 2.765 | 15.6 |
| 39.03 | 2.308 | 14.9 |
| 39.59 | 2.276 | 60.2 |
| 49.41 | 1.845 | 20.4 |
| 52.37 | 1.747 | 22.5 |

=====

This entry pairs a crystal structure of Mg8InSn4 with its simulated X-ray diffraction stick pattern. Radiation: a wavelength of 1.5418 Å. Structure: a crystal structure in Alexandria, relaxed with PBE.
Neutral-atom scattering factors, no anomalous dispersion.

Atomic structure:
```
data_Mg8InSn4
_space_group_name_H-M_alt 'P m -3 m'
_space_group_IT_number 221
_space_group_name_Hall '-P 4 2 3'
_cell_length_a 6.9623
_cell_length_b 6.9623
_cell_length_c 6.9623
_cell_angle_alpha 90.00
_cell_angle_beta 90.00
_cell_angle_gamma 90.00
loop_
_atom_site_label
_atom_site_type_symbol
_atom_site_fract_x
_atom_site_fract_y
_atom_site_fract_z
Mg1 Mg 0.2456 0.2456 0.2456
In1 In 0.5000 0.5000 0.5000
Sn1 Sn 0.0000 0.0000 0.0000
Sn2 Sn 0.0000 0.5000 0.5000
```

Peak list (10 most intense, 2θ = 5–70°, in order of rising 2θ)
| 2θ/deg | d (Å) | Rel. int. |
| --- | --- | --- |
| 12.71 | 6.962 | 12.0 |
| 18.02 | 4.923 | 12.3 |
| 22.11 | 4.020 | 48.8 |
| 25.59 | 3.481 | 29.4 |
| 36.50 | 2.462 | 100.0 |
| 43.09 | 2.099 | 26.8 |
| 52.58 | 1.741 | 17.5 |
| 57.72 | 1.597 | 11.8 |
| 59.36 | 1.557 | 12.7 |
| 65.70 | 1.421 | 35.9 |

=====

This entry pairs a crystal structure of Ca7ZrN6 with its simulated X-ray diffraction stick pattern. Radiation: a wavelength of 1.5418 Å. Structure: a crystal structure in Alexandria, relaxed with PBE.
Neutral-atom scattering factors, no anomalous dispersion.

Atomic structure:
```
data_Ca7ZrN6
_space_group_name_H-M_alt 'I b a m'
_space_group_IT_number 72
_space_group_name_Hall '-I 2 2c'
_cell_length_a 6.4000
_cell_length_b 11.8083
_cell_length_c 13.0790
_cell_angle_alpha 90.00
_cell_angle_beta 90.00
_cell_angle_gamma 90.00
loop_
_atom_site_label
_atom_site_type_symbol
_atom_site_fract_x
_atom_site_fract_y
_atom_site_fract_z
Ca1 Ca 0.0000 0.0000 0.2500
Ca2 Ca 0.1127 0.2722 0.1211
Ca3 Ca 0.2191 0.0421 0.0000
Zr1 Zr 0.0000 0.5000 0.2500
N1 N 0.1212 0.1570 0.5000
N2 N 0.2007 0.3916 0.3292
```

Peak list (10 most intense, 2θ = 5–70°, in order of rising 2θ)
| 2θ/deg | d (Å) | Rel. int. |
| --- | --- | --- |
| 20.26 | 4.382 | 18.8 |
| 20.83 | 4.265 | 32.4 |
| 29.72 | 3.006 | 16.5 |
| 30.28 | 2.952 | 27.0 |
| 31.12 | 2.874 | 27.9 |
| 31.27 | 2.860 | 100.0 |
| 34.14 | 2.626 | 23.7 |
| 34.71 | 2.584 | 47.2 |
| 43.97 | 2.059 | 22.1 |
| 50.68 | 1.801 | 18.4 |

=====

This entry pairs a crystal structure of GaPtAu with its simulated X-ray diffraction stick pattern. Radiation: a wavelength of 1.5418 Å. Structure: a crystal structure in Alexandria, relaxed with PBE.
Neutral-atom scattering factors, no anomalous dispersion.

Atomic structure:
```
data_GaPtAu
_space_group_name_H-M_alt 'I m m 2'
_space_group_IT_number 44
_cell_length_a 4.0029
_cell_length_b 12.7553
_cell_length_c 6.2734
_cell_angle_alpha 90.00
_cell_angle_beta 90.00
_cell_angle_gamma 90.00
loop_
_space_group_symop_operation_xyz
'x,y,z'
'-x,-y,z'
'-x,y,z'
'x,-y,z'
'x+1/2,y+1/2,z+1/2'
'-x+1/2,-y+1/2,z+1/2'
'-x+1/2,y+1/2,z+1/2'
'x+1/2,-y+1/2,z+1/2'
loop_
_atom_site_label
_atom_site_type_symbol
_atom_site_fract_x
_atom_site_fract_y
_atom_site_fract_z
Ga1 Ga 0.0000 0.0000 0.0000
Ga2 Ga 0.0000 0.3119 0.0391
Pt1 Pt 0.0000 0.1646 0.7732
Pt2 Pt 0.0000 0.5000 0.2335
Au1 Au 0.0000 0.0000 0.4098
Au2 Au 0.0000 0.3696 0.6311
```

Peak list (10 most intense, 2θ = 5–70°, in order of rising 2θ)
| 2θ/deg | d (Å) | Rel. int. |
| --- | --- | --- |
| 26.41 | 3.374 | 27.7 |
| 29.96 | 2.983 | 77.8 |
| 37.09 | 2.424 | 59.6 |
| 38.08 | 2.363 | 28.0 |
| 38.86 | 2.318 | 100.0 |
| 42.33 | 2.135 | 86.3 |
| 42.52 | 2.126 | 31.3 |
| 43.87 | 2.064 | 27.5 |
| 45.31 | 2.001 | 47.9 |
| 67.85 | 1.381 | 23.1 |

=====

This entry pairs a crystal structure of Na12GaPb6 with its simulated X-ray diffraction stick pattern. Radiation: a wavelength of 1.5418 Å. Structure: a crystal structure in Alexandria, relaxed with PBE.
Neutral-atom scattering factors, no anomalous dispersion.

Atomic structure:
```
data_Na12GaPb6
_space_group_name_H-M_alt 'R -3'
_space_group_IT_number 148
_space_group_name_Hall '-R 3'
_cell_length_a 11.6705
_cell_length_b 11.6705
_cell_length_c 14.7289
_cell_angle_alpha 90.00
_cell_angle_beta 90.00
_cell_angle_gamma 120.00
loop_
_atom_site_label
_atom_site_type_symbol
_atom_site_fract_x
_atom_site_fract_y
_atom_site_fract_z
Na1 Na 0.0447 0.1900 0.3170
Na2 Na 0.0651 0.8357 0.9145
Ga1 Ga 0.0000 0.0000 0.5000
Pb1 Pb 0.0334 0.4493 0.2072
```

Peak list (10 most intense, 2θ = 5–70°, in order of rising 2θ)
| 2θ/deg | d (Å) | Rel. int. |
| --- | --- | --- |
| 10.62 | 8.334 | 50.8 |
| 14.88 | 5.952 | 46.8 |
| 15.18 | 5.835 | 34.0 |
| 18.07 | 4.910 | 41.3 |
| 21.32 | 4.167 | 53.3 |
| 23.68 | 3.757 | 44.5 |
| 32.52 | 2.754 | 100.0 |
| 33.81 | 2.651 | 45.6 |
| 34.23 | 2.620 | 55.0 |
| 35.27 | 2.545 | 28.5 |

=====

This entry pairs a crystal structure of Nd4HfTh3N8 with its simulated X-ray diffraction stick pattern. Radiation: a wavelength of 1.5418 Å. Structure: a crystal structure in Alexandria, relaxed with PBE.
Neutral-atom scattering factors, no anomalous dispersion.

Atomic structure:
```
data_Nd4HfTh3N8
_space_group_name_H-M_alt 'R -3 m'
_space_group_IT_number 166
_space_group_name_Hall '-R 3 2"'
_cell_length_a 7.1937
_cell_length_b 7.1937
_cell_length_c 17.6745
_cell_angle_alpha 90.00
_cell_angle_beta 90.00
_cell_angle_gamma 120.00
loop_
_atom_site_label
_atom_site_type_symbol
_atom_site_fract_x
_atom_site_fract_y
_atom_site_fract_z
Nd1 Nd 0.0000 0.0000 0.0000
Nd2 Nd 0.0000 0.5000 0.0000
Hf1 Hf 0.0000 0.0000 0.5000
Th1 Th 0.0000 0.5000 0.5000
N1 N 0.0000 0.0000 0.2455
N2 N 0.0212 0.5106 0.2404
```

Peak list (10 most intense, 2θ = 5–70°, in order of rising 2θ)
| 2θ/deg | d (Å) | Rel. int. |
| --- | --- | --- |
| 15.04 | 5.891 | 6.1 |
| 29.11 | 3.068 | 3.6 |
| 30.41 | 2.940 | 100.0 |
| 35.25 | 2.546 | 69.0 |
| 50.66 | 1.802 | 24.2 |
| 50.77 | 1.798 | 24.3 |
| 60.26 | 1.536 | 35.0 |
| 60.35 | 1.534 | 11.5 |
| 63.12 | 1.473 | 4.1 |
| 63.31 | 1.469 | 12.4 |

=====

This entry pairs a crystal structure of Pm12CdPb7 with its simulated X-ray diffraction stick pattern. Radiation: a wavelength of 1.5418 Å. Structure: a crystal structure in Alexandria, relaxed with PBE.
Neutral-atom scattering factors, no anomalous dispersion.

Atomic structure:
```
data_Pm12CdPb7
_space_group_name_H-M_alt 'R -3 m'
_space_group_IT_number 166
_space_group_name_Hall '-R 3 2"'
_cell_length_a 16.2927
_cell_length_b 16.2927
_cell_length_c 8.7417
_cell_angle_alpha 90.00
_cell_angle_beta 90.00
_cell_angle_gamma 120.00
loop_
_atom_site_label
_atom_site_type_symbol
_atom_site_fract_x
_atom_site_fract_y
_atom_site_fract_z
Pm1 Pm 0.0000 0.2756 0.0000
Pm2 Pm 0.1077 0.2155 0.3585
Cd1 Cd 0.0000 0.0000 0.0000
Pb1 Pb 0.0000 0.0000 0.5000
Pb2 Pb 0.1086 0.5543 0.4080
```

Peak list (10 most intense, 2θ = 5–70°, in order of rising 2θ)
| 2θ/deg | d (Å) | Rel. int. |
| --- | --- | --- |
| 16.14 | 5.490 | 28.1 |
| 27.26 | 3.271 | 28.2 |
| 29.42 | 3.036 | 22.7 |
| 30.67 | 2.915 | 88.1 |
| 32.62 | 2.745 | 29.2 |
| 32.99 | 2.715 | 100.0 |
| 34.48 | 2.601 | 25.4 |
| 36.27 | 2.477 | 47.7 |
| 49.82 | 1.830 | 49.3 |
| 61.06 | 1.518 | 36.6 |

=====

This entry pairs a crystal structure of CaIn2Si2Au7 with its simulated X-ray diffraction stick pattern. Radiation: a wavelength of 1.5418 Å. Structure: a crystal structure in Alexandria, relaxed with PBE.
Neutral-atom scattering factors, no anomalous dispersion.

Atomic structure:
```
data_CaIn2Si2Au7
_space_group_name_H-M_alt 'C 1 2/m 1'
_space_group_IT_number 12
_cell_length_a 6.8883
_cell_length_b 7.0182
_cell_length_c 11.2704
_cell_angle_alpha 90.00
_cell_angle_beta 103.84
_cell_angle_gamma 90.00
loop_
_space_group_symop_operation_xyz
'x,y,z'
'-x,-y,-z'
'-x,y,-z'
'x,-y,z'
'x+1/2,y+1/2,z'
'-x+1/2,-y+1/2,-z'
'-x+1/2,y+1/2,-z'
'x+1/2,-y+1/2,z'
loop_
_atom_site_label
_atom_site_type_symbol
_atom_site_fract_x
_atom_site_fract_y
_atom_site_fract_z
Ca1 Ca 0.0000 0.0000 0.0000
In1 In 0.1499 0.0000 0.3539
Si1 Si 0.2168 0.5000 0.2183
Au1 Au 0.0000 0.5000 0.0000
Au2 Au 0.1153 0.2922 0.8069
Au3 Au 0.1189 0.5000 0.4143
```

Peak list (10 most intense, 2θ = 5–70°, in order of rising 2θ)
| 2θ/deg | d (Å) | Rel. int. |
| --- | --- | --- |
| 18.32 | 4.842 | 76.0 |
| 26.66 | 3.344 | 50.2 |
| 27.74 | 3.216 | 43.4 |
| 30.26 | 2.954 | 71.7 |
| 31.68 | 2.825 | 42.3 |
| 34.62 | 2.591 | 63.9 |
| 35.50 | 2.529 | 74.8 |
| 36.60 | 2.455 | 100.0 |
| 41.25 | 2.189 | 47.8 |
| 54.85 | 1.674 | 37.8 |